Calculated PXRD pattern of Cr5P4O16 for Cu Kα X-rays, from the PBE+U geometry in Alexandria.
Intensities are scaled so that the largest is 100.

Structure:
Cell lengths 5.191, 8.094, 8.345 Å; angles 113.67, 91.78, 98.97 degrees
Atoms (fractional coordinates):
Cr (0.000, 0.000, 0.000)
Cr (0.114, 0.250, 0.766)
Cr (0.361, 0.585, 0.340)
Cr (0.639, 0.415, 0.660)
Cr (0.886, 0.750, 0.234)
P (0.138, 0.197, 0.426)
P (0.360, 0.694, 0.975)
P (0.640, 0.306, 0.025)
P (0.862, 0.803, 0.574)
O (0.047, 0.010, 0.265)
O (0.086, 0.746, 0.451)
O (0.201, 0.659, 0.118)
O (0.253, 0.825, 0.915)
O (0.256, 0.341, 0.365)
O (0.333, 0.501, 0.812)
O (0.336, 0.172, 0.560)
O (0.343, 0.241, 0.958)
O (0.657, 0.759, 0.042)
O (0.664, 0.828, 0.440)
O (0.667, 0.499, 0.188)
O (0.744, 0.659, 0.635)
O (0.747, 0.175, 0.085)
O (0.799, 0.341, 0.882)
O (0.914, 0.254, 0.549)
O (0.953, 0.990, 0.735)

Peak list (10 most intense, 5° ≤ 2θ ≤ 70°, in order of falling intensity)
- (1 -1 0), 19.3°, I 100
- (1 0 -2), 27.8°, I 90
- (0 1 1), 20.1°, I 59
- (2 -1 0), 35.1°, I 40
- (1 1 1), 28.9°, I 40
- (1 2 -1), 30.4°, I 38
- (0 1 -1), 12.9°, I 37
- (0 2 0), 24.4°, I 34
- (1 -2 3), 37.8°, I 30
- (1 -1 3), 37.6°, I 28